Diffraction record for SrCoO3. The X-ray diffraction stick pattern is calculated, not measured: it uses a cell relaxed with GGA+U and Cu Kα X-rays.
Peak positions follow from Bragg's law for the DFT cell and can differ from measured ones.

Crystal structure
```
data_SrCoO3
_cell_length_a 5.476
_cell_length_b 5.476
_cell_length_c 3.959
_cell_angle_alpha 90.00
_cell_angle_beta 90.00
_cell_angle_gamma 90.00
_space_group_name_H-M_alt 'P 4/m b m'
_space_group_IT_number 127
_space_group_name_Hall '-P 4 2ab'
loop_
_atom_site_label
_atom_site_type_symbol
_atom_site_fract_x
_atom_site_fract_y
_atom_site_fract_z
Sr1 Sr 0.000 0.000 0.000
Co1 Co 0.000 0.500 0.500
O1 O 0.000 0.500 0.000
O2 O 0.231 0.269 0.500
```

Principal peaks in the range 2θ = 10–90°, by angle:
2θ = 32.34°, intensity 100; 2θ = 32.71°, intensity 49; 2θ = 40.04°, intensity 17; 2θ = 45.84°, intensity 20; 2θ = 46.93°, intensity 36; 2θ = 57.45°, intensity 19; 2θ = 58.14°, intensity 36; 2θ = 67.69°, intensity 21; 2θ = 68.54°, intensity 10; 2θ = 86.42°, intensity 10